Entry 1:
Diffraction record for RbSn2Se4. The powder X-ray diffraction pattern is computed, not measured: it uses a cell relaxed with GGA-PBE and λ = 1.5418 Å (Cu Kα).

Peak list (8 most intense, 2θ = 10–90°, by angle)
2θ (°), intensity
10.30, 100
22.65, 50
24.20, 38
25.84, 54
33.95, 38
34.86, 39
37.11, 43
39.59, 40

Cell lengths 17.1690, 9.1045, 6.6989 Å; angles 90.00, 90.00, 90.00 degrees
Sites, in units of the cell vectors:
Rb1 0.2395 0.2500 0.0026
Rb2 0.2605 0.7500 0.5026
Rb3 0.7395 0.2500 0.4974
Rb4 0.7605 0.7500 0.9974
Sn1 0.0000 0.0000 0.5000
Sn2 0.0000 0.5000 0.5000
Sn3 0.0655 0.7500 0.9030
Sn4 0.4345 0.2500 0.4030
Sn5 0.5000 0.0000 0.0000
Sn6 0.5000 0.5000 0.0000
Sn7 0.5655 0.7500 0.5970
Sn8 0.9345 0.2500 0.0970
Se1 0.0666 0.2500 0.2921
Se2 0.0701 0.7500 0.2853
Se3 0.1288 0.5178 0.7651
Se4 0.1288 0.9822 0.7651
Se5 0.3712 0.0178 0.2651
Se6 0.3712 0.4822 0.2651
Se7 0.4299 0.2500 0.7853
Se8 0.4334 0.7500 0.7921
Se9 0.5666 0.2500 0.2079
Se10 0.5701 0.7500 0.2147
Se11 0.6288 0.5178 0.7349
Se12 0.6288 0.9822 0.7349
Se13 0.8712 0.0178 0.2349
Se14 0.8712 0.4822 0.2349
Se15 0.9299 0.2500 0.7147
Se16 0.9334 0.7500 0.7079

***

Entry 2:
Diffraction record for In6GaSe8. The powder X-ray diffraction pattern is computed, not measured: it uses a cell relaxed with GGA-PBE and λ = 1.5418 Å (Cu Kα).

Peak list (8 most intense, 2θ = 10–90°, by angle)
2θ (°), intensity
11.28, 100
24.63, 87
27.51, 45
33.14, 46
37.00, 62
37.78, 46
41.49, 41
42.91, 47

Cell lengths 7.8841, 7.8841, 7.8841 Å; angles 93.83, 93.83, 93.83 degrees
Sites, in units of the cell vectors:
In1 0.1694 0.5587 0.3694
In2 0.3694 0.1694 0.5587
In3 0.4413 0.6306 0.8306
In4 0.5587 0.3694 0.1694
In5 0.6306 0.8306 0.4413
In6 0.8306 0.4413 0.6306
Ga1 0.0000 0.0000 0.0000
Se1 0.1599 0.3977 0.7136
Se2 0.2390 0.2390 0.2390
Se3 0.2864 0.8401 0.6023
Se4 0.3977 0.7136 0.1599
Se5 0.6023 0.2864 0.8401
Se6 0.7136 0.1599 0.3977
Se7 0.7610 0.7610 0.7610
Se8 0.8401 0.6023 0.2864

***

Entry 3:
Diffraction record for DyY2Os. The powder X-ray diffraction pattern is computed, not measured: it uses a cell relaxed with GGA-PBE and λ = 1.5418 Å (Cu Kα).

Peak list (8 most intense, 2θ = 10–90°, by angle)
2θ (°), intensity
19.58, 33
30.84, 38
33.22, 37
33.37, 100
38.16, 30
43.98, 25
45.66, 24
50.09, 25

Cell lengths 6.2885, 6.2885, 9.0690 Å; angles 90.00, 90.00, 143.16 degrees
Sites, in units of the cell vectors:
Dy1 0.0767 0.9233 0.7500
Dy2 0.9233 0.0767 0.2500
Y1 0.3559 0.6441 0.5662
Y2 0.3559 0.6441 0.9338
Y3 0.6441 0.3559 0.0662
Y4 0.6441 0.3559 0.4338
Os1 0.2589 0.7411 0.2500
Os2 0.7411 0.2589 0.7500

***

Entry 4:
Diffraction record for Tb3CeCo3. The powder X-ray diffraction pattern is computed, not measured: it uses a cell relaxed with GGA-PBE and λ = 1.5418 Å (Cu Kα).

Peak list (8 most intense, 2θ = 10–90°, by angle)
2θ (°), intensity
31.24, 31
32.55, 53
32.66, 75
34.73, 87
35.01, 100
36.54, 36
40.96, 50
49.18, 51

Cell lengths 6.4862, 6.4862, 14.3394 Å; angles 113.17, 113.17, 33.19 degrees
Sites, in units of the cell vectors:
Tb1 0.0406 0.0406 0.3055
Tb2 0.1681 0.1681 0.5798
Tb3 0.3735 0.3735 0.8652
Tb4 0.6265 0.6265 0.1348
Tb5 0.8319 0.8319 0.4202
Tb6 0.9594 0.9594 0.6945
Ce1 0.3384 0.3384 0.1102
Ce2 0.6616 0.6616 0.8898
Co1 0.0655 0.0655 0.9551
Co2 0.3338 0.3338 0.2613
Co3 0.4802 0.4802 0.5697
Co4 0.5198 0.5198 0.4303
Co5 0.6662 0.6662 0.7387
Co6 0.9345 0.9345 0.0449

***

Entry 5:
Diffraction record for Ni21Ge2B6. The powder X-ray diffraction pattern is computed, not measured: it uses a cell relaxed with GGA-PBE and λ = 1.5418 Å (Cu Kα).

Peak list (8 most intense, 2θ = 10–90°, by angle)
2θ (°), intensity
38.39, 27
42.22, 33
44.92, 100
49.15, 22
51.57, 26
52.35, 12
77.20, 23
79.10, 13

Cell lengths 7.4141, 7.4141, 7.4141 Å; angles 60.00, 60.00, 60.00 degrees
Sites, in units of the cell vectors:
Ni1 0.0000 0.0000 0.0000
Ni2 0.0000 0.0000 0.3367
Ni3 0.0000 0.0000 0.6633
Ni4 0.0000 0.3367 0.0000
Ni5 0.0000 0.3367 0.6633
Ni6 0.0000 0.6633 0.0000
Ni7 0.0000 0.6633 0.3367
Ni8 0.1438 0.6187 0.6187
Ni9 0.3367 0.0000 0.0000
Ni10 0.3367 0.0000 0.6633
Ni11 0.3367 0.6633 0.0000
Ni12 0.3813 0.3813 0.3813
Ni13 0.3813 0.3813 0.8562
Ni14 0.3813 0.8562 0.3813
Ni15 0.6187 0.1438 0.6187
Ni16 0.6187 0.6187 0.1438
Ni17 0.6187 0.6187 0.6187
Ni18 0.6633 0.0000 0.0000
Ni19 0.6633 0.0000 0.3367
Ni20 0.6633 0.3367 0.0000
Ni21 0.8562 0.3813 0.3813
Ge1 0.2500 0.2500 0.2500
Ge2 0.7500 0.7500 0.7500
B1 0.2731 0.2731 0.7269
B2 0.2731 0.7269 0.2731
B3 0.2731 0.7269 0.7269
B4 0.7269 0.2731 0.2731
B5 0.7269 0.2731 0.7269
B6 0.7269 0.7269 0.2731

***

Entry 6:
Diffraction record for Sr9Pb3O2. The powder X-ray diffraction pattern is computed, not measured: it uses a cell relaxed with GGA-PBE and λ = 1.5418 Å (Cu Kα).

Peak list (8 most intense, 2θ = 10–90°, by angle)
2θ (°), intensity
23.76, 19
29.21, 100
33.85, 56
48.63, 40
57.74, 44
60.56, 14
78.77, 18
81.23, 18

Cell lengths 7.4882, 7.4882, 9.1768 Å; angles 90.00, 90.00, 120.00 degrees
Sites, in units of the cell vectors:
Sr1 0.0000 0.5000 0.0000
Sr2 0.1711 0.3421 0.6732
Sr3 0.1711 0.8289 0.6732
Sr4 0.3421 0.1711 0.3268
Sr5 0.5000 0.0000 0.0000
Sr6 0.5000 0.5000 0.0000
Sr7 0.6579 0.8289 0.6732
Sr8 0.8289 0.1711 0.3268
Sr9 0.8289 0.6579 0.3268
Pb1 0.0000 0.0000 0.0000
Pb2 0.3333 0.6667 0.3327
Pb3 0.6667 0.3333 0.6673
O1 0.3333 0.6667 0.8367
O2 0.6667 0.3333 0.1633

***

Entry 7:
Diffraction record for AcCe2Se3. The powder X-ray diffraction pattern is computed, not measured: it uses a cell relaxed with GGA-PBE and λ = 1.5418 Å (Cu Kα).

Peak list (8 most intense, 2θ = 10–90°, by angle)
2θ (°), intensity
25.35, 35
29.27, 51
29.39, 100
41.96, 95
42.17, 19
51.96, 20
52.16, 20
68.90, 26

Cell lengths 7.4613, 7.4613, 7.4613 Å; angles 146.62, 131.73, 59.96 degrees
Sites, in units of the cell vectors:
Ac1 0.0000 0.0000 0.0000
Ce1 0.3362 0.3362 0.0000
Ce2 0.6638 0.6638 0.0000
Se1 0.1754 0.6754 0.5000
Se2 0.5000 0.0000 0.5000
Se3 0.8246 0.3246 0.5000

***

Entry 8:
Diffraction record for CaTl6Cd. The powder X-ray diffraction pattern is computed, not measured: it uses a cell relaxed with GGA-PBE and λ = 1.5418 Å (Cu Kα).

Peak list (8 most intense, 2θ = 10–90°, by angle)
2θ (°), intensity
28.87, 33
30.10, 49
30.29, 100
32.54, 30
34.48, 57
34.73, 56
34.76, 28
49.15, 26

Cell lengths 6.2862, 6.3010, 6.3471 Å; angles 97.92, 98.06, 98.21 degrees
Sites, in units of the cell vectors:
Ca1 0.0000 0.0000 0.0000
Tl1 0.0500 0.5500 0.2661
Tl2 0.2670 0.0486 0.5564
Tl3 0.4483 0.7317 0.9484
Tl4 0.5517 0.2683 0.0516
Tl5 0.7330 0.9514 0.4436
Tl6 0.9500 0.4500 0.7339
Cd1 0.5000 0.5000 0.5000

***

Entry 9:
Diffraction record for Ac2TmMg16. The powder X-ray diffraction pattern is computed, not measured: it uses a cell relaxed with GGA-PBE and λ = 1.5418 Å (Cu Kα).

Peak list (8 most intense, 2θ = 10–90°, by angle)
2θ (°), intensity
16.82, 100
24.14, 65
29.35, 55
30.29, 26
34.02, 51
34.21, 59
34.83, 37
49.00, 33

Cell lengths 7.9771, 7.9771, 7.9771 Å; angles 82.71, 82.71, 82.71 degrees
Sites, in units of the cell vectors:
Ac1 0.0000 0.0000 0.0000
Ac2 0.3265 0.3265 0.3265
Tm1 0.7601 0.7601 0.7601
Mg1 0.0171 0.0171 0.5140
Mg2 0.0171 0.5140 0.0171
Mg3 0.1696 0.6650 0.6650
Mg4 0.3149 0.3149 0.8263
Mg5 0.3149 0.8263 0.3149
Mg6 0.3716 0.6660 0.9624
Mg7 0.3716 0.9624 0.6660
Mg8 0.5140 0.0171 0.0171
Mg9 0.5568 0.5568 0.5568
Mg10 0.6650 0.1696 0.6650
Mg11 0.6650 0.6650 0.1696
Mg12 0.6660 0.3716 0.9624
Mg13 0.6660 0.9624 0.3716
Mg14 0.8263 0.3149 0.3149
Mg15 0.9624 0.3716 0.6660
Mg16 0.9624 0.6660 0.3716

***

Entry 10:
Diffraction record for Cs2RbGe2I7. The powder X-ray diffraction pattern is computed, not measured: it uses a cell relaxed with GGA-PBE and λ = 1.5418 Å (Cu Kα).

Peak list (8 most intense, 2θ = 10–90°, by angle)
2θ (°), intensity
26.74, 29
27.07, 23
27.22, 51
28.68, 35
29.62, 100
41.51, 24
41.91, 43
42.80, 19

Cell lengths 6.0337, 6.0337, 16.1002 Å; angles 100.52, 100.52, 88.90 degrees
Sites, in units of the cell vectors:
Cs1 0.1731 0.1731 0.3595
Cs2 0.8269 0.8269 0.6405
Rb1 0.0000 0.0000 0.0000
Ge1 0.3793 0.3793 0.8030
Ge2 0.6207 0.6207 0.1970
I1 0.0822 0.5860 0.1877
I2 0.3019 0.3019 0.6113
I3 0.4140 0.9178 0.8123
I4 0.5000 0.5000 0.0000
I5 0.5860 0.0822 0.1877
I6 0.6981 0.6981 0.3887
I7 0.9178 0.4140 0.8123

***

Entry 11:
Diffraction record for BaLiAs2Se4. The powder X-ray diffraction pattern is computed, not measured: it uses a cell relaxed with GGA-PBE and λ = 1.5418 Å (Cu Kα).

Peak list (8 most intense, 2θ = 10–90°, by angle)
2θ (°), intensity
16.01, 18
27.38, 100
29.83, 32
30.68, 34
33.82, 19
36.14, 49
46.72, 25
53.52, 20

Cell lengths 6.5852, 6.5852, 6.5852 Å; angles 117.28, 113.51, 98.21 degrees
Sites, in units of the cell vectors:
Ba1 0.0000 0.0000 0.0000
Li1 0.5000 0.5000 0.0000
As1 0.2008 0.7008 0.5000
As2 0.7992 0.2992 0.5000
Se1 0.1437 0.5615 0.0472
Se2 0.4858 0.4385 0.5822
Se3 0.5142 0.0965 0.9528
Se4 0.8563 0.9035 0.4178

***

Entry 12:
Diffraction record for Ce2Ga9Co3. The powder X-ray diffraction pattern is computed, not measured: it uses a cell relaxed with GGA-PBE and λ = 1.5418 Å (Cu Kα).

Peak list (8 most intense, 2θ = 10–90°, by angle)
2θ (°), intensity
37.55, 100
38.51, 15
40.15, 9
41.73, 24
41.84, 48
57.40, 10
73.41, 11
73.56, 17

Cell lengths 7.4921, 7.4921, 10.3075 Å; angles 111.39, 111.39, 59.83 degrees
Sites, in units of the cell vectors:
Ce1 0.0847 0.2509 0.2506
Ce2 0.2509 0.0847 0.7506
Ce3 0.7491 0.9153 0.2494
Ce4 0.9153 0.7491 0.7494
Ga1 0.0250 0.8566 0.0733
Ga2 0.1434 0.9750 0.4267
Ga3 0.1929 0.3585 0.5741
Ga4 0.2077 0.5810 0.2516
Ga5 0.3139 0.4820 0.9440
Ga6 0.3585 0.1929 0.0741
Ga7 0.3704 0.6296 0.7500
Ga8 0.4190 0.7923 0.2484
Ga9 0.4820 0.3139 0.4440
Ga10 0.5180 0.6861 0.5560
Ga11 0.5810 0.2077 0.7516
Ga12 0.6296 0.3704 0.2500
Ga13 0.6415 0.8071 0.9259
Ga14 0.6861 0.5180 0.0560
Ga15 0.7923 0.4190 0.7484
Ga16 0.8071 0.6415 0.4259
Ga17 0.8566 0.0250 0.5733
Ga18 0.9750 0.1434 0.9267
Co1 0.0000 0.5000 0.0000
Co2 0.1597 0.6710 0.4997
Co3 0.3290 0.8403 0.0003
Co4 0.5000 0.0000 0.5000
Co5 0.6710 0.1597 0.9997
Co6 0.8403 0.3290 0.5003